Calculated powder XRD pattern of TbAlCd for a wavelength of 1.5418 Å, from a PBE-relaxed structure.

Structural model:
```
data_TbAlCd
_chemical_formula_sum 'Tb4 Al4 Cd4'
_symmetry_space_group_name_H-M 'I -4 m 2'
_symmetry_Int_Tables_number 119
_symmetry_space_group_name_Hall 'I -4 -2'
_cell_length_a 4.2407
_cell_length_b 4.2407
_cell_length_c 16.3922
_cell_angle_alpha 90.00
_cell_angle_beta 90.00
_cell_angle_gamma 90.00
loop_
_atom_site_label
_atom_site_type_symbol
_atom_site_fract_x
_atom_site_fract_y
_atom_site_fract_z
Tb1 Tb 0.0000 0.0000 0.0000
Tb2 Tb 0.0000 0.5000 0.2500
Al1 Al 0.0000 0.0000 0.4236
Cd1 Cd 0.0000 0.5000 0.6665
```

The 6 most intense peaks (5 to 70 degrees two-theta), by angle:
26.61 deg, intensity 35
31.78 deg, intensity 100
34.58 deg, intensity 63
42.64 deg, intensity 37
44.18 deg, intensity 35
56.02 deg, intensity 31


Calculated powder XRD pattern of Li6Ga2Ge for a wavelength of 1.5418 Å, from a PBE-relaxed structure.

Structural model:
```
data_Li6Ga2Ge
_chemical_formula_sum 'Li18 Ga6 Ge3'
_symmetry_space_group_name_H-M 'R -3 m'
_symmetry_Int_Tables_number 166
_symmetry_space_group_name_Hall '-R 3 2"'
_cell_length_a 7.7004
_cell_length_b 7.7004
_cell_length_c 8.0090
_cell_angle_alpha 90.00
_cell_angle_beta 90.00
_cell_angle_gamma 120.00
loop_
_atom_site_label
_atom_site_type_symbol
_atom_site_fract_x
_atom_site_fract_y
_atom_site_fract_z
Li1 Li 0.0000 0.3351 0.0000
Ga1 Ga 0.0000 0.0000 0.1614
Ge1 Ge 0.0000 0.0000 0.5000
```

The 6 most intense peaks (5 to 70 degrees two-theta), by angle:
23.10 deg, intensity 100
40.58 deg, intensity 34
41.15 deg, intensity 57
47.21 deg, intensity 15
53.65 deg, intensity 17
59.17 deg, intensity 19


Calculated powder XRD pattern of Nd3PN5 for a wavelength of 1.5418 Å, from a PBE-relaxed structure.

Structural model:
```
data_Nd3PN5
_chemical_formula_sum 'Nd12 P4 N20'
_symmetry_space_group_name_H-M 'I 4/m c m'
_symmetry_Int_Tables_number 140
_symmetry_space_group_name_Hall '-I 4 2c'
_cell_length_a 6.7555
_cell_length_b 6.7555
_cell_length_c 10.8663
_cell_angle_alpha 90.00
_cell_angle_beta 90.00
_cell_angle_gamma 90.00
loop_
_atom_site_label
_atom_site_type_symbol
_atom_site_fract_x
_atom_site_fract_y
_atom_site_fract_z
Nd1 Nd 0.0000 0.0000 0.2500
Nd2 Nd 0.1801 0.3199 0.0000
P1 P 0.0000 0.5000 0.2500
N1 N 0.0000 0.0000 0.0000
N2 N 0.1349 0.3651 0.3452
```

The 6 most intense peaks (5 to 70 degrees two-theta), by angle:
24.82 deg, intensity 30
30.72 deg, intensity 56
31.18 deg, intensity 100
32.97 deg, intensity 35
38.82 deg, intensity 54
42.31 deg, intensity 28


Calculated powder XRD pattern of Nd4DyTm8 for a wavelength of 1.5418 Å, from a PBE-relaxed structure.

Structural model:
```
data_Nd4DyTm8
_chemical_formula_sum 'Nd4 Dy1 Tm8'
_symmetry_space_group_name_H-M 'P m -3 m'
_symmetry_Int_Tables_number 221
_symmetry_space_group_name_Hall '-P 4 2 3'
_cell_length_a 7.7568
_cell_length_b 7.7568
_cell_length_c 7.7568
_cell_angle_alpha 90.00
_cell_angle_beta 90.00
_cell_angle_gamma 90.00
loop_
_atom_site_label
_atom_site_type_symbol
_atom_site_fract_x
_atom_site_fract_y
_atom_site_fract_z
Nd1 Nd 0.0000 0.0000 0.0000
Nd2 Nd 0.0000 0.5000 0.5000
Dy1 Dy 0.5000 0.5000 0.5000
Tm1 Tm 0.2405 0.2405 0.2405
```

The 6 most intense peaks (5 to 70 degrees two-theta), by angle:
19.82 deg, intensity 10
22.93 deg, intensity 10
32.65 deg, intensity 100
46.85 deg, intensity 18
58.27 deg, intensity 37
68.42 deg, intensity 11


Calculated powder XRD pattern of TcPt4 for a wavelength of 1.5418 Å, from a PBE-relaxed structure.

Structural model:
```
data_TcPt4
_chemical_formula_sum 'Tc4 Pt16'
_symmetry_space_group_name_H-M 'C 1 2/m 1'
_symmetry_Int_Tables_number 12
_cell_length_a 5.2767
_cell_length_b 7.7096
_cell_length_c 8.1354
_cell_angle_alpha 90.00
_cell_angle_beta 101.55
_cell_angle_gamma 90.00
loop_
_symmetry_equiv_pos_as_xyz
'x,y,z'
'-x,-y,-z'
'-x,y,-z'
'x,-y,z'
'x+1/2,y+1/2,z'
'-x+1/2,-y+1/2,-z'
'-x+1/2,y+1/2,-z'
'x+1/2,-y+1/2,z'
loop_
_atom_site_label
_atom_site_type_symbol
_atom_site_fract_x
_atom_site_fract_y
_atom_site_fract_z
Tc1 Tc 0.0000 0.2050 0.0000
Pt1 Pt 0.1101 0.5000 0.8582
Pt2 Pt 0.1792 0.1879 0.7100
Pt3 Pt 0.2449 0.0000 0.4435
```

The 6 most intense peaks (5 to 70 degrees two-theta), by angle:
36.70 deg, intensity 98
38.71 deg, intensity 100
39.15 deg, intensity 42
41.27 deg, intensity 76
41.82 deg, intensity 94
44.48 deg, intensity 100


Calculated powder XRD pattern of VCrCo4 for a wavelength of 1.5418 Å, from a PBE-relaxed structure.

Structural model:
```
data_VCrCo4
_chemical_formula_sum 'V4 Cr4 Co16'
_symmetry_space_group_name_H-M 'I m m a'
_symmetry_Int_Tables_number 74
_symmetry_space_group_name_Hall '-I 2b 2'
_cell_length_a 4.1370
_cell_length_b 7.9599
_cell_length_c 8.2785
_cell_angle_alpha 90.00
_cell_angle_beta 90.00
_cell_angle_gamma 90.00
loop_
_atom_site_label
_atom_site_type_symbol
_atom_site_fract_x
_atom_site_fract_y
_atom_site_fract_z
V1 V 0.0000 0.2500 0.1236
Cr1 Cr 0.0000 0.2500 0.6276
Co1 Co 0.0000 0.0881 0.3772
Co2 Co 0.0000 0.0877 0.8740
```

The 5 most intense peaks (5 to 70 degrees two-theta), by angle:
32.60 deg, intensity 2
43.75 deg, intensity 60
46.19 deg, intensity 100
63.60 deg, intensity 18
65.03 deg, intensity 1